Diffraction record for Li4Ti3Mn3Fe2O16. The X-ray diffraction stick pattern is calculated, not measured: it uses a structure optimized by DFT (PBE+U) and CuKα.
No peak broadening, texture or thermal motion is included.

Peak list (10 most intense, 15° ≤ 2θ ≤ 90°, by angle)
2theta  Rel. int.  hkl
18.48  100  0 0 2
19.52  68  0 1 -1
19.70  51  1 0 -1
19.79  61  -1 1 1
32.94  34  1 0 -3
33.09  33  1 -1 3
35.62  53  -1 2 2
35.98  48  2 -1 2
45.58  32  2 0 3
60.45  41  2 0 5

Atomic structure:
Cell lengths 5.8461, 5.9167, 9.6028 Å; angles 90.03, 90.17, 119.24 degrees
Space group P1 (No. 1)
Symmetry-distinct sites (fractional):
Li  0.0000  0.0000  0.0000 [1 per cell]
Li  0.0013  0.0001  0.5020 [1 per cell]
Li  0.3213  0.6697  0.3959 [1 per cell]
Li  0.6550  0.3254  0.8987 [1 per cell]
Ti  0.1394  0.3425  0.7136 [1 per cell]
Ti  0.6528  0.8112  0.7265 [1 per cell]
Ti  0.8327  0.1800  0.2194 [1 per cell]
Mn  0.1707  0.8358  0.7179 [1 per cell]
Mn  0.3359  0.1716  0.2179 [1 per cell]
Mn  0.8208  0.6635  0.2201 [1 per cell]
Fe  0.3320  0.6771  0.9984 [1 per cell]
Fe  0.6484  0.3353  0.4958 [1 per cell]
O  0.0143  0.0313  0.3179 [1 per cell]
O  0.0340  0.5199  0.8447 [1 per cell]
O  0.1590  0.3274  0.1047 [1 per cell]
O  0.1632  0.8471  0.1092 [1 per cell]
O  0.3205  0.1701  0.6094 [1 per cell]
O  0.3375  0.6660  0.6077 [1 per cell]
O  0.4756  0.9602  0.8407 [1 per cell]
O  0.4841  0.5244  0.8419 [1 per cell]
O  0.5004  0.4740  0.3387 [1 per cell]
O  0.5097  0.0415  0.3399 [1 per cell]
O  0.6439  0.3039  0.1045 [1 per cell]
O  0.6723  0.8402  0.1079 [1 per cell]
O  0.8314  0.1716  0.6037 [1 per cell]
O  0.8363  0.6794  0.6055 [1 per cell]
O  0.9516  0.4841  0.3398 [1 per cell]
O  0.9975  0.0090  0.8133 [1 per cell]